Diffraction record for Ag6Te3Se. The PXRD pattern is calculated, not measured: it uses a crystal structure in Alexandria, relaxed with GGA-PBE and Cu Kα.
Peak positions follow from Bragg's law for the DFT cell and can differ from measured ones.

```
data_Ag6Te3Se
_space_group_name_H-M_alt 'C 1 2/m 1'
_space_group_IT_number 12
_cell_length_a 13.4448
_cell_length_b 6.2410
_cell_length_c 7.1316
_cell_angle_alpha 90.00
_cell_angle_beta 121.52
_cell_angle_gamma 90.00
loop_
_space_group_symop_operation_xyz
'x,y,z'
'-x,-y,-z'
'-x,y,-z'
'x,-y,z'
'x+1/2,y+1/2,z'
'-x+1/2,-y+1/2,-z'
'-x+1/2,y+1/2,-z'
'x+1/2,-y+1/2,z'
loop_
_atom_site_label
_atom_site_type_symbol
_atom_site_fract_x
_atom_site_fract_y
_atom_site_fract_z
Ag1 Ag 0.1208 0.2353 0.3390
Ag2 Ag 0.2466 0.5000 0.1713
Te1 Te 0.0000 0.0000 0.5000
Te2 Te 0.2232 0.5000 0.7473
Se1 Se 0.0000 0.5000 0.0000
```

Peak list (6 most intense, 10° ≤ 2θ ≤ 90°, in order of rising 2θ)
two_theta	I_rel	index
32.29	71.4	2 2 -1
38.33	100.0	2 2 -2
38.76	36.5	4 0 -3
40.20	40.5	2 0 2
40.57	37.6	6 0 -2
42.85	85.0	4 2 0